This entry pairs a crystal structure of HfTl2PbBr6 with its calculated X-ray powder pattern. Radiation: Cu Kα, 1.54184 Å. Structure: DFT lattice parameters and positions (GGA-PBE).

Main lines, sorted by position (2θ = 10–90°):
- (2 2 0), 2θ = 22.1°, rel. 1000
- (2 2 2), 2θ = 27.2°, rel. 271
- (4 0 0), 2θ = 31.5°, rel. 865
- (4 2 2), 2θ = 38.8°, rel. 464
- (4 4 0), 2θ = 45.1°, rel. 625
- (6 4 2), 2θ = 60.9°, rel. 282

Cell and atoms:
```
data_HfTl2PbBr6
_chemical_formula_sum 'Hf4 Tl8 Pb4 Br24'
_cell_length_a 11.375
_cell_length_b 11.375
_cell_length_c 11.375
_cell_angle_alpha 90.00
_cell_angle_beta 90.00
_cell_angle_gamma 90.00
_symmetry_space_group_name_H-M 'F m -3 m'
_symmetry_Int_Tables_number 225
_symmetry_space_group_name_Hall '-F 4 2 3'
loop_
_atom_site_label
_atom_site_type_symbol
_atom_site_fract_x
_atom_site_fract_y
_atom_site_fract_z
_atom_site_occupancy
Hf1 Hf 0.000 0.000 0.000 1
Tl1 Tl 0.250 0.250 0.250 1
Pb1 Pb 0.000 0.000 0.500 1
Br1 Br 0.000 0.000 0.232 1
```

***

This entry pairs a crystal structure of RbCuTcTe3 with its calculated X-ray powder pattern. Radiation: Cu Kα, 1.54184 Å. Structure: DFT lattice parameters and positions (GGA-PBE).

Main lines, sorted by position (2θ = 10–90°):
- (1 0 0), 2θ = 10.8°, rel. 1000
- (2 0 -3), 2θ = 27.6°, rel. 376
- (2 1 -1), 2θ = 29.9°, rel. 692
- (2 1 -2), 2θ = 31.5°, rel. 240
- (2 1 2), 2θ = 40.8°, rel. 234
- (0 2 0), 2θ = 45.1°, rel. 250

Cell and atoms:
```
data_RbCuTcTe3
_chemical_formula_sum 'Rb2 Cu2 Tc2 Te6'
_cell_length_a 8.908
_cell_length_b 4.019
_cell_length_c 10.575
_cell_angle_alpha 90.00
_cell_angle_beta 113.38
_cell_angle_gamma 90.00
_symmetry_space_group_name_H-M 'P 1 21/m 1'
_symmetry_Int_Tables_number 11
loop_
_symmetry_equiv_pos_as_xyz
'x,y,z'
'-x,-y,-z'
'-x,y+1/2,-z'
'x,-y+1/2,z'
loop_
_atom_site_label
_atom_site_type_symbol
_atom_site_fract_x
_atom_site_fract_y
_atom_site_fract_z
_atom_site_occupancy
Rb1 Rb 0.014 0.250 0.282 1
Cu1 Cu 0.474 0.750 0.389 1
Tc1 Tc 0.475 0.250 0.173 1
Te1 Te 0.259 0.750 0.145 1
Te2 Te 0.318 0.750 0.560 1
Te3 Te 0.354 0.250 0.887 1
```

***

This entry pairs a crystal structure of AgBi2Te3Cl with its calculated X-ray powder pattern. Radiation: Cu Kα, 1.54184 Å. Structure: DFT lattice parameters and positions (GGA-PBE).

Main lines, sorted by position (2θ = 10–90°):
- (0 0 3), 2θ = 23.3°, rel. 754
- (2 1 -1), 2θ = 29.1°, rel. 1000
- (2 1 0), 2θ = 29.6°, rel. 999
- (2 1 1), 2θ = 32.1°, rel. 685
- (1 1 -4), 2θ = 36.6°, rel. 478
- (0 2 0), 2θ = 41.5°, rel. 855

Cell and atoms:
```
data_AgBi2Te3Cl
_chemical_formula_sum 'Ag2 Bi4 Te6 Cl2'
_cell_length_a 8.695
_cell_length_b 4.357
_cell_length_c 11.899
_cell_angle_alpha 90.00
_cell_angle_beta 105.71
_cell_angle_gamma 90.00
_symmetry_space_group_name_H-M 'P 1 21/m 1'
_symmetry_Int_Tables_number 11
loop_
_symmetry_equiv_pos_as_xyz
'x,y,z'
'-x,-y,-z'
'-x,y+1/2,-z'
'x,-y+1/2,z'
loop_
_atom_site_label
_atom_site_type_symbol
_atom_site_fract_x
_atom_site_fract_y
_atom_site_fract_z
_atom_site_occupancy
Ag1 Ag 0.046 0.250 0.414 1
Bi1 Bi 0.201 0.250 0.945 1
Bi2 Bi 0.469 0.750 0.659 1
Te1 Te 0.042 0.250 0.153 1
Te2 Te 0.202 0.250 0.666 1
Te3 Te 0.306 0.750 0.408 1
Cl1 Cl 0.399 0.750 0.092 1
```

***

This entry pairs a crystal structure of K7GeIrO8 with its calculated X-ray powder pattern. Radiation: Cu Kα, 1.54184 Å. Structure: DFT lattice parameters and positions (GGA-PBE).

Main lines, sorted by position (2θ = 10–90°):
- (1 1 1), 2θ = 12.9°, rel. 395
- (2 2 0), 2θ = 21.2°, rel. 697
- (3 1 1), 2θ = 24.9°, rel. 1000
- (4 0 0), 2θ = 30.1°, rel. 467
- (4 4 0), 2θ = 43.1°, rel. 671
- (7 3 1), 2θ = 59.8°, rel. 311

Cell and atoms:
```
data_K7GeIrO8
_chemical_formula_sum 'K28 Ge4 Ir4 O32'
_cell_length_a 11.873
_cell_length_b 11.873
_cell_length_c 11.873
_cell_angle_alpha 90.00
_cell_angle_beta 90.00
_cell_angle_gamma 90.00
_symmetry_space_group_name_H-M 'F -4 3 m'
_symmetry_Int_Tables_number 216
_symmetry_space_group_name_Hall 'F -4 2 3'
loop_
_atom_site_label
_atom_site_type_symbol
_atom_site_fract_x
_atom_site_fract_y
_atom_site_fract_z
_atom_site_occupancy
K1 K 0.000 0.000 0.000 1
K2 K 0.021 0.250 0.750 1
Ge1 Ge 0.000 0.000 0.500 1
Ir1 Ir 0.250 0.250 0.250 1
O1 O 0.087 0.087 0.587 1
O2 O 0.122 0.122 0.878 1
```

***

- Which formula does entry 1 have?
  HfTl2PbBr6